[1]
This entry pairs a crystal structure of K4Mg3InF12 with its calculated PXRD pattern. Radiation: Cu Kα X-rays. Structure: the PBE geometry in Alexandria.
Peak positions follow from Bragg's law for the DFT cell and can differ from measured ones.

Principal peaks in the range 2θ from 10° to 90°, most intense first:
- 30.13°, intensity 100, (2 2 0)
- 43.14°, intensity 77, (4 0 0)
- 14.94°, intensity 44, (1 1 0)
- 62.65°, intensity 42, (4 4 0)
- 53.52°, intensity 37, (4 2 2)
- 26.02°, intensity 25, (2 1 1)
- 40.23°, intensity 23, (3 2 1)
- 86.91°, intensity 19, (6 4 2)
- 21.18°, intensity 19, (2 0 0)
- 37.13°, intensity 19, (2 2 2)

Structure:
Lattice parameters (Å, degrees): 8.388 8.388 8.388 90.00 90.00 90.00
Space group Im-3m (No. 229)
Unique sites:
K: 0.250 0.250 0.250 (multiplicity 8)
Mg: 0.000 0.000 0.500 (multiplicity 6)
In: 0.000 0.000 0.000 (multiplicity 2)
F: 0.000 0.000 0.268 (multiplicity 12)
F: 0.000 0.250 0.500 (multiplicity 12)



[2]
This entry pairs a crystal structure of Ce2ZnHgIr with its calculated PXRD pattern. Radiation: Cu Kα X-rays. Structure: the PBE geometry in Alexandria.
Peak positions follow from Bragg's law for the DFT cell and can differ from measured ones.

Principal peaks in the range 2θ from 10° to 90°, most intense first:
- 31.62°, intensity 100, (2 1 -1)
- 37.99°, intensity 69, (1 1 2)
- 32.76°, intensity 60, (2 1 0)
- 40.51°, intensity 46, (1 1 -3)
- 35.05°, intensity 44, (2 1 -2)
- 44.44°, intensity 42, (0 2 0)
- 30.73°, intensity 40, (1 0 2)
- 36.59°, intensity 23, (3 0 0)
- 22.51°, intensity 23, (1 0 -2)
- 62.57°, intensity 17, (0 0 5)

Structure:
Lattice parameters (Å, degrees): 7.927 4.077 7.981 90.00 111.64 90.00
Space group P2_1/m (No. 11)
Unique sites:
Ce: 0.007 0.250 0.210 (multiplicity 2)
Ce: 0.351 0.750 0.616 (multiplicity 2)
Zn: 0.362 0.250 0.947 (multiplicity 2)
Hg: 0.317 0.750 0.187 (multiplicity 2)
Ir: 0.114 0.250 0.622 (multiplicity 2)